Diffraction record for Zn3Co9O16. The powder diffractogram is theoretical, not measured: it uses a DFT-relaxed cell (PBE+U, Alexandria) and Cu Ka.

Structure:
abc: 10.189 10.189 10.189
angles: 33.30 33.30 33.30
Sites, in units of the cell vectors:
Zn 0.000 0.000 0.000
Zn 0.124 0.124 0.124
Zn 0.311 0.311 0.311
Co 0.062 0.062 0.561
Co 0.062 0.561 0.062
Co 0.063 0.563 0.563
Co 0.502 0.502 0.502
Co 0.561 0.062 0.062
Co 0.563 0.063 0.563
Co 0.563 0.563 0.063
Co 0.622 0.622 0.622
Co 0.814 0.814 0.814
O 0.158 0.707 0.707
O 0.193 0.193 0.193
O 0.207 0.207 0.666
O 0.207 0.666 0.207
O 0.418 0.418 0.954
O 0.418 0.954 0.418
O 0.436 0.436 0.436
O 0.472 0.916 0.916
O 0.666 0.207 0.207
O 0.689 0.689 0.689
O 0.707 0.158 0.707
O 0.707 0.707 0.158
O 0.916 0.472 0.916
O 0.916 0.916 0.472
O 0.930 0.930 0.930
O 0.954 0.418 0.418

Principal peaks in the range 2θ from 10° to 90°, in order of rising 2θ:
2θ = 30.45°, rel. 20
2θ = 30.63°, rel. 22
2θ = 35.84°, rel. 35
2θ = 36.02°, rel. 100
2θ = 37.71°, rel. 11
2θ = 43.73°, rel. 23
2θ = 57.88°, rel. 21
2θ = 57.99°, rel. 16
2θ = 63.37°, rel. 28
2θ = 63.77°, rel. 29